Diffraction record for Hg3PBr6. The X-ray diffraction stick pattern is calculated, not measured: it uses the PBE geometry in OQMD and Cu Kα, 1.54184 Å.
Kinematic intensities with the Lorentz-polarization factor, no thermal factor.

```
data_Hg3PBr6
_symmetry_space_group_name_H-M 'P -3 1 m'
_symmetry_Int_Tables_number 162
_symmetry_space_group_name_Hall '-P 3 2'
_cell_length_a 7.5576
_cell_length_b 7.5576
_cell_length_c 6.9294
_cell_angle_alpha 90.00
_cell_angle_beta 90.00
_cell_angle_gamma 120.00
loop_
_atom_site_label
_atom_site_fract_x
_atom_site_fract_y
_atom_site_fract_z
_atom_site_occupancy
Hg1 0.0000 0.0000 0.0000 1
Hg2 0.3333 0.6667 0.0000 1
P1 0.0000 0.0000 0.5000 1
Br1 0.0000 0.2793 0.2799 1
```

Main lines, in order of rising 2θ (2θ = 5–70°):
two_theta	intensity	(hkl)
12.8	38	0 0 1
23.5	23	1 1 0
26.9	100	2 -1 1
35.1	69	1 1 2
41.4	29	3 0 0
55.4	17	4 -2 2

=====

Diffraction record for Al8Fe3. The X-ray diffraction stick pattern is calculated, not measured: it uses the PBE geometry in OQMD and Cu Kα, 1.54184 Å.
Kinematic intensities with the Lorentz-polarization factor, no thermal factor.

```
data_Al8Fe3
_symmetry_space_group_name_H-M 'P -1'
_symmetry_Int_Tables_number 2
_cell_length_a 6.946
_cell_length_b 6.973
_cell_length_c 7.231
_cell_angle_alpha 76.51
_cell_angle_beta 73.60
_cell_angle_gamma 67.29
loop_
_symmetry_equiv_pos_as_xyz
'x,y,z'
'-x,-y,-z'
loop_
_atom_site_label
_atom_site_fract_x
_atom_site_fract_y
_atom_site_fract_z
_atom_site_occupancy
Al1 0.028 0.169 0.384 1
Al2 0.112 0.487 0.128 1
Al3 0.170 0.819 0.197 1
Al4 0.237 0.788 0.826 1
Al5 0.300 0.126 0.595 1
Al6 0.371 0.336 0.811 1
Al7 0.390 0.453 0.385 1
Al8 0.435 0.094 0.158 1
Fe1 0.000 0.500 0.500 1
Fe2 0.133 0.148 0.969 1
Fe3 0.335 0.826 0.449 1
Fe4 0.500 0.500 0.000 1
```

Main lines, in order of rising 2θ (2θ = 5–70°):
two_theta	intensity	(hkl)
26.0	100	1 -1 1
27.1	57	2 1 0
42.5	87	3 0 1
42.6	71	0 3 0
43.4	91	2 1 -2
47.1	83	3 3 1

=====

Diffraction record for BaSnHgS4. The X-ray diffraction stick pattern is calculated, not measured: it uses the PBE geometry in OQMD and Cu Kα, 1.54184 Å.
Kinematic intensities with the Lorentz-polarization factor, no thermal factor.

```
data_BaSnHgS4
_symmetry_space_group_name_H-M 'A m a 2'
_symmetry_Int_Tables_number 40
_cell_length_a 11.033
_cell_length_b 10.981
_cell_length_c 6.733
_cell_angle_alpha 90.00
_cell_angle_beta 90.00
_cell_angle_gamma 90.00
loop_
_symmetry_equiv_pos_as_xyz
'x,y,z'
'-x,-y,z'
'-x+1/2,y,z'
'x+1/2,-y,z'
'x,y+1/2,z+1/2'
'-x,-y+1/2,z+1/2'
'-x+1/2,y+1/2,z+1/2'
'x+1/2,-y+1/2,z+1/2'
loop_
_atom_site_label
_atom_site_fract_x
_atom_site_fract_y
_atom_site_fract_z
_atom_site_occupancy
Ba1 0.000 0.000 0.000 1
Sn1 0.250 0.212 0.487 1
Hg1 0.250 0.327 0.949 1
S1 0.080 0.235 0.715 1
S2 0.250 0.052 0.248 1
S3 0.250 0.403 0.294 1
```

Main lines, in order of rising 2θ (2θ = 5–70°):
two_theta	intensity	(hkl)
16.1	56	2 0 0
22.4	100	2 1 1
22.9	61	2 2 0
27.7	81	0 3 1
35.3	89	2 2 2
43.2	52	4 3 1

=====

Diffraction record for Hf4SnC3. The X-ray diffraction stick pattern is calculated, not measured: it uses the PBE geometry in OQMD and Cu Kα, 1.54184 Å.
Kinematic intensities with the Lorentz-polarization factor, no thermal factor.

```
data_Hf4SnC3
_symmetry_space_group_name_H-M 'P 63/m m c'
_symmetry_Int_Tables_number 194
_symmetry_space_group_name_Hall '-P 6c 2c'
_cell_length_a 3.3234
_cell_length_b 3.3234
_cell_length_c 25.1081
_cell_angle_alpha 90.00
_cell_angle_beta 90.00
_cell_angle_gamma 120.00
loop_
_atom_site_label
_atom_site_fract_x
_atom_site_fract_y
_atom_site_fract_z
_atom_site_occupancy
Hf1 0.0000 0.0000 0.1538 1
Hf2 0.3333 0.6667 0.0511 1
Sn1 0.3333 0.6667 0.2500 1
C1 0.0000 0.0000 0.0000 1
C2 0.3333 0.6667 0.6083 1
```

Main lines, in order of rising 2θ (2θ = 5–70°):
two_theta	intensity	(hkl)
34.3	81	1 0 4
35.8	60	0 0 10
36.0	98	1 0 5
37.9	100	1 0 6
55.3	61	1 1 0
67.6	58	1 1 10

=====

Diffraction record for PaAlO3. The X-ray diffraction stick pattern is calculated, not measured: it uses the PBE geometry in OQMD and Cu Kα, 1.54184 Å.
Kinematic intensities with the Lorentz-polarization factor, no thermal factor.

```
data_PaAlO3
_symmetry_space_group_name_H-M 'P n m a'
_symmetry_Int_Tables_number 62
_cell_length_a 5.383
_cell_length_b 7.551
_cell_length_c 5.388
_cell_angle_alpha 90.00
_cell_angle_beta 90.00
_cell_angle_gamma 90.00
loop_
_symmetry_equiv_pos_as_xyz
'x,y,z'
'-x,-y,-z'
'-x+1/2,-y,z+1/2'
'x+1/2,y,-z+1/2'
'x+1/2,-y+1/2,-z+1/2'
'-x+1/2,y+1/2,z+1/2'
'-x,y+1/2,-z'
'x,-y+1/2,z'
loop_
_atom_site_label
_atom_site_fract_x
_atom_site_fract_y
_atom_site_fract_z
_atom_site_occupancy
Pa1 0.000 0.250 0.000 1
Al1 0.000 0.000 0.500 1
O1 0.000 0.250 0.494 1
O2 0.249 0.003 0.751 1
```

Main lines, in order of rising 2θ (2θ = 5–70°):
two_theta	intensity	(hkl)
23.4	70	1 0 1
23.6	34	0 2 0
33.3	51	2 0 0
33.4	100	1 2 1
41.2	62	2 2 0
59.6	41	3 2 1

=====

Diffraction record for MgZn6. The X-ray diffraction stick pattern is calculated, not measured: it uses the PBE geometry in OQMD and Cu Kα, 1.54184 Å.
Kinematic intensities with the Lorentz-polarization factor, no thermal factor.

```
data_MgZn6
_symmetry_space_group_name_H-M 'R -3 m'
_symmetry_Int_Tables_number 166
_symmetry_space_group_name_Hall '-R 3 2"'
_cell_length_a 5.2830
_cell_length_b 5.2830
_cell_length_c 14.6737
_cell_angle_alpha 90.00
_cell_angle_beta 90.00
_cell_angle_gamma 120.00
loop_
_atom_site_label
_atom_site_fract_x
_atom_site_fract_y
_atom_site_fract_z
_atom_site_occupancy
Mg1 0.0000 0.0000 0.0000 1
Zn1 0.0051 0.5026 0.9081 1
```

Main lines, in order of rising 2θ (2θ = 5–70°):
two_theta	intensity	(hkl)
20.3	30	1 0 1
36.7	41	0 0 6
39.9	100	0 2 1
41.3	24	2 0 2
46.8	29	0 2 4
50.6	50	2 0 5